Entry 1:
Starting from a structure optimized by DFT (PBE), the PXRD pattern of TcAgI6 was calculated for Cu Kα (λ = 1.5418 Å).

The 10 most intense peaks (5 to 70 degrees two-theta), most intense first:
Position (°2θ)	d_spacing	Rel. int.
30.82	2.901	100
28.60	3.122	53
25.26	3.525	51
15.79	5.612	40
42.47	2.128	34
42.61	2.122	34
13.83	6.405	30
26.64	3.346	21
26.74	3.334	21
42.33	2.135	19

Structure:
```
TcAgI6
1.0
7.4038 0.0000 0.0000
0.0000 12.8098 0.0000
-3.1538 0.0000 6.6670
Tc Ag I
2 2 12
direct
0.0000 0.0000 0.0000 Tc
0.5000 0.5000 0.0000 Tc
0.0000 0.5000 0.5000 Ag
0.5000 0.0000 0.5000 Ag
0.2188 0.0000 0.7842 I
0.2401 0.1546 0.2430 I
0.2401 0.8454 0.2430 I
0.2599 0.3454 0.7570 I
0.2599 0.6546 0.7570 I
0.2812 0.5000 0.2158 I
0.7188 0.5000 0.7842 I
0.7401 0.3454 0.2430 I
0.7401 0.6546 0.2430 I
0.7599 0.1546 0.7570 I
0.7599 0.8454 0.7570 I
0.7812 0.0000 0.2158 I
```

Entry 2:
Starting from a structure optimized by DFT (PBE), the PXRD pattern of TcAg3I8 was calculated for Cu Kα (λ = 1.5418 Å).

The 10 most intense peaks (5 to 70 degrees two-theta), most intense first:
Position (°2θ)	d_spacing	Rel. int.
29.54	3.024	100
42.40	2.132	67
29.72	3.006	48
12.90	6.861	39
16.41	5.402	25
43.33	2.088	21
25.97	3.430	21
25.15	3.541	20
41.20	2.191	17
53.42	1.715	17

Structure:
```
TcAg3I8
1.0
4.1772 -6.0114 0.0000
4.1772 6.0114 0.0000
0.0000 0.0000 8.7641
Tc Ag I
1 3 8
direct
0.0000 0.0000 0.0000 Tc
0.0000 0.0000 0.5000 Ag
0.0000 0.5000 0.2607 Ag
0.5000 0.0000 0.7393 Ag
0.2281 0.2400 0.2188 I
0.2281 0.7719 0.0000 I
0.2338 0.7662 0.5000 I
0.2400 0.2281 0.7812 I
0.7600 0.7719 0.7812 I
0.7662 0.2338 0.5000 I
0.7719 0.2281 0.0000 I
0.7719 0.7600 0.2188 I
```

Entry 3:
Starting from a structure optimized by DFT (PBE), the PXRD pattern of Ag2TeI6 was calculated for Cu Kα (λ = 1.5418 Å).

The 10 most intense peaks (5 to 70 degrees two-theta), most intense first:
Position (°2θ)	d_spacing	Rel. int.
26.64	3.347	100
34.37	2.609	65
42.77	2.114	57
17.38	5.103	56
27.64	3.227	37
35.18	2.551	36
44.63	2.031	27
68.31	1.373	24
40.70	2.217	21
54.86	1.673	19

Structure:
```
Ag2TeI6
1.0
7.2161 0.0000 0.0000
0.0000 7.2161 0.0000
0.0000 0.0000 13.3010
Ag Te I
4 2 12
direct
0.0000 0.0000 0.1642 Ag
0.0000 0.0000 0.8358 Ag
0.5000 0.5000 0.3358 Ag
0.5000 0.5000 0.6642 Ag
0.0000 0.0000 0.5000 Te
0.5000 0.5000 0.0000 Te
0.1976 0.1976 0.3337 I
0.1976 0.1976 0.6663 I
0.1998 0.1998 0.0000 I
0.3002 0.6998 0.5000 I
0.3024 0.6976 0.1663 I
0.3024 0.6976 0.8337 I
0.6976 0.3024 0.1663 I
0.6976 0.3024 0.8337 I
0.6998 0.3002 0.5000 I
0.8002 0.8002 0.0000 I
0.8024 0.8024 0.3337 I
0.8024 0.8024 0.6663 I
```

Entry 4:
Starting from a structure optimized by DFT (PBE), the PXRD pattern of AgTe2I6 was calculated for Cu Kα (λ = 1.5418 Å).

The 10 most intense peaks (5 to 70 degrees two-theta), most intense first:
Position (°2θ)	d_spacing	Rel. int.
27.13	3.287	100
28.38	3.145	64
27.93	3.195	62
22.64	3.927	56
23.83	3.735	46
32.50	2.755	43
9.99	8.852	34
20.29	4.376	32
48.52	1.876	31
36.98	2.431	25

Structure:
```
AgTe2I6
1.0
4.3988 0.0000 0.0000
0.9754 9.5016 0.0000
0.4353 4.4838 8.8523
Ag Te I
1 2 6
direct
0.0000 0.0000 0.0000 Ag
0.2166 0.4651 0.8665 Te
0.7834 0.5349 0.1335 Te
0.0745 0.3159 0.6926 I
0.0741 0.7658 0.6015 I
0.4348 0.1411 0.1087 I
0.5652 0.8589 0.8913 I
0.9259 0.2342 0.3985 I
0.9255 0.6841 0.3074 I
```

Entry 5:
Starting from a structure optimized by DFT (PBE), the PXRD pattern of Ag4TeI3 was calculated for Cu Kα (λ = 1.5418 Å).

The 10 most intense peaks (5 to 70 degrees two-theta), most intense first:
Position (°2θ)	d_spacing	Rel. int.
20.87	4.257	100
39.73	2.269	99
14.74	6.012	71
25.86	3.445	70
14.83	5.972	63
33.42	2.681	63
33.68	2.661	56
39.87	2.261	53
50.57	1.805	40
29.90	2.988	37

Structure:
```
Ag4TeI3
1.0
8.4073 0.0000 0.0000
0.0000 8.5218 0.0000
0.0000 0.0000 8.4837
Ag Te I
8 2 6
direct
0.0000 0.1819 0.0000 Ag
0.0000 0.8181 0.0000 Ag
0.1731 0.5000 0.7011 Ag
0.3269 0.0000 0.2011 Ag
0.5000 0.3181 0.5000 Ag
0.5000 0.6819 0.5000 Ag
0.6731 0.0000 0.2011 Ag
0.8269 0.5000 0.7011 Ag
0.0000 0.5000 0.9657 Te
0.5000 0.0000 0.4657 Te
0.0000 0.0000 0.3176 I
0.2342 0.5000 0.3818 I
0.2658 0.0000 0.8818 I
0.5000 0.5000 0.8176 I
0.7342 0.0000 0.8818 I
0.7658 0.5000 0.3818 I
```

Entry 6:
Starting from a structure optimized by DFT (PBE), the PXRD pattern of Ag7Te2I3 was calculated for Cu Kα (λ = 1.5418 Å).

The 10 most intense peaks (5 to 70 degrees two-theta), most intense first:
Position (°2θ)	d_spacing	Rel. int.
42.19	2.142	100
24.33	3.658	94
27.13	3.287	86
31.62	2.829	76
25.06	3.554	75
34.52	2.598	67
37.56	2.394	64
34.84	2.575	63
39.44	2.285	58
27.54	3.239	58

Structure:
```
Ag7Te2I3
1.0
12.9912 -3.5539 0.0000
12.9912 3.5539 0.0000
0.0000 0.0000 7.4742
Ag Te I
14 4 6
direct
0.1143 0.1423 0.6152 Ag
0.1423 0.1143 0.1152 Ag
0.1549 0.4708 0.5926 Ag
0.1843 0.8157 0.5000 Ag
0.2626 0.5734 0.7447 Ag
0.4266 0.7374 0.7447 Ag
0.4708 0.1549 0.0926 Ag
0.5292 0.8451 0.5926 Ag
0.5734 0.2626 0.2447 Ag
0.7374 0.4266 0.2447 Ag
0.8157 0.1843 0.0000 Ag
0.8451 0.5292 0.0926 Ag
0.8577 0.8857 0.6152 Ag
0.8857 0.8577 0.1152 Ag
0.1772 0.6248 0.3763 Te
0.3752 0.8228 0.3763 Te
0.6248 0.1772 0.8763 Te
0.8228 0.3752 0.8763 Te
0.0593 0.5240 0.9646 I
0.2340 0.7660 0.9682 I
0.4760 0.9407 0.9646 I
0.5240 0.0593 0.4646 I
0.7660 0.2340 0.4682 I
0.9407 0.4760 0.4646 I
```

Entry 7:
Starting from a structure optimized by DFT (PBE), the PXRD pattern of Ag2TeI4 was calculated for Cu Kα (λ = 1.5418 Å).

The 10 most intense peaks (5 to 70 degrees two-theta), most intense first:
Position (°2θ)	d_spacing	Rel. int.
26.05	3.421	100
40.69	2.217	74
31.02	2.883	37
29.73	3.005	35
15.37	5.765	32
45.50	1.994	31
68.73	1.366	31
14.74	6.009	29
41.93	2.155	27
22.66	3.924	21

Structure:
```
Ag2TeI4
1.0
8.4983 0.0000 0.0000
0.0000 8.4983 0.0000
0.0000 0.0000 7.8474
Ag Te I
4 2 8
direct
0.0000 0.5000 0.2500 Ag
0.0000 0.5000 0.7500 Ag
0.5000 0.0000 0.2500 Ag
0.5000 0.0000 0.7500 Ag
0.0000 0.0000 0.0000 Te
0.5000 0.5000 0.5000 Te
0.1637 0.6864 0.0000 I
0.1864 0.3363 0.5000 I
0.3136 0.1637 0.0000 I
0.3363 0.8136 0.5000 I
0.6637 0.1864 0.5000 I
0.6864 0.8363 0.0000 I
0.8136 0.6637 0.5000 I
0.8363 0.3136 0.0000 I
```

Entry 8:
Starting from a structure optimized by DFT (PBE), the PXRD pattern of ThAg3I8 was calculated for Cu Kα (λ = 1.5418 Å).

The 10 most intense peaks (5 to 70 degrees two-theta), most intense first:
Position (°2θ)	d_spacing	Rel. int.
28.47	3.135	100
11.73	7.545	49
41.53	2.175	38
39.90	2.259	23
23.95	3.715	18
51.17	1.785	13
39.75	2.268	12
24.92	3.574	11
67.86	1.381	11
36.58	2.456	9

Structure:
```
ThAg3I8
1.0
7.5359 -4.3476 0.0000
7.5359 4.3476 0.0000
-5.0613 0.0000 7.5446
Th Ag I
1 3 8
direct
0.0000 0.0000 0.0000 Th
0.0000 0.5000 0.0000 Ag
0.5000 0.0000 0.0000 Ag
0.5000 0.5000 0.0000 Ag
0.2417 0.7535 0.7509 I
0.2464 0.2464 0.2484 I
0.2465 0.7583 0.2491 I
0.2709 0.2709 0.8137 I
0.7291 0.7291 0.1863 I
0.7535 0.2417 0.7509 I
0.7536 0.7536 0.7516 I
0.7583 0.2465 0.2491 I
```